Theoretical powder diffractogram
Compound: Cd3B2O6
Radiation: a wavelength of 1.5418 Å
Structure: a structure optimized by DFT (PBE)
No peak broadening, texture or thermal motion is included.

Structural model:
a = 4.843 Å, b = 6.096 Å, c = 9.171 Å
α = 90.00°, β = 90.00°, γ = 90.00°
Space group Pnnm (No. 58)
One atom of each set of equivalent atoms:
Cd 0.000 0.000 0.000 x2
Cd 0.000 0.500 0.189 x4
B 0.034 0.241 0.500 x4
O 0.179 0.283 0.370 x8
O 0.241 0.821 0.500 x4

Top 6 peaks for 2θ = 10–90°, in order of rising 2θ:
20.74°, intensity 41, (1 0 1); 30.59°, intensity 100, (1 1 2); 32.77°, intensity 47, (0 1 3); 36.17°, intensity 44, (1 2 1); 47.98°, intensity 26, (2 2 0); 50.35°, intensity 35, (2 1 3)